No. 1
Starting from a PBE-relaxed structure, the powder diffraction line list of S was calculated for CuKα.
Intensities are scaled so that the largest is 100.

Structure:
Cell lengths 7.578, 7.765, 9.579 Å; angles 90.00, 90.00, 90.00 degrees
Space group P2_12_12_1 (No. 19)
Asymmetric unit:
S1 0.038 0.154 0.095 x4
S2 0.193 0.618 0.295 x4
S3 0.204 0.759 0.114 x4
S4 0.246 0.014 0.174 x4

Principal peaks in the range 2θ = 10–90°, sorted by position:
14.91°, intensity 75, (1 0 1); 18.53°, intensity 15, (0 0 2); 18.80°, intensity 100, (1 1 1); 21.80°, intensity 78, (0 1 2); 21.95°, intensity 52, (1 0 2); 23.48°, intensity 29, (2 0 0); 24.76°, intensity 54, (0 2 1); 25.78°, intensity 23, (1 2 0); 27.81°, intensity 29, (2 1 1); 30.07°, intensity 20, (2 0 2); 43.80°, intensity 15, (2 2 3); 46.35°, intensity 16, (2 1 4)

=====

No. 2
Starting from a PBE-relaxed structure, the powder diffraction line list of S was calculated for CuKα.
Intensities are scaled so that the largest is 100.

Structure:
Cell lengths 9.250, 13.724, 10.651 Å; angles 90.00, 122.50, 90.00 degrees
Space group P2/c (No. 13)
Asymmetric unit:
S1 0.085 0.171 0.215 x4
S2 0.132 0.150 0.821 x4
S3 0.214 0.391 0.588 x4
S4 0.237 0.056 0.740 x4
S5 0.257 0.477 0.023 x4
S6 0.284 0.077 0.347 x4
S7 0.369 0.383 0.202 x4
S8 0.412 0.297 0.637 x4

Principal peaks in the range 2θ = 10–90°, sorted by position:
12.13°, intensity 11, (1 1 -1); 13.05°, intensity 31, (1 1 0); 17.88°, intensity 100, (1 1 -2); 19.77°, intensity 20, (0 0 2); 20.81°, intensity 41, (0 1 2); 21.63°, intensity 38, (2 1 -2); 22.53°, intensity 26, (1 3 0); 22.79°, intensity 23, (2 0 0); 25.68°, intensity 24, (1 3 -2); 26.28°, intensity 27, (2 2 0); 27.04°, intensity 11, (1 3 1); 32.62°, intensity 11, (0 2 3)

=====

No. 3
Starting from a PBE-relaxed structure, the powder diffraction line list of Sb3S5 was calculated for CuKα.
Intensities are scaled so that the largest is 100.

Structure:
Cell lengths 8.5673, 8.5673, 5.4121 Å; angles 90.00, 90.00, 120.00 degrees
Space group P6_3/mcm (No. 193)
Asymmetric unit:
Sb1 0.0000 0.3417 0.2500 x6
S1 0.0000 0.2597 0.7500 x6
S2 0.3333 0.6667 0.0000 x4

Principal peaks in the range 2θ = 10–90°, sorted by position:
20.74°, intensity 35, (1 1 0); 26.54°, intensity 100, (1 1 1); 33.10°, intensity 25, (0 0 2); 36.33°, intensity 83, (3 0 0); 39.38°, intensity 48, (1 1 2); 45.55°, intensity 35, (2 2 1); 49.96°, intensity 35, (3 0 2); 54.65°, intensity 17, (2 2 2); 55.25°, intensity 14, (1 1 3); 59.60°, intensity 31, (4 1 1); 81.00°, intensity 17, (3 0 4); 83.26°, intensity 17, (5 2 1)

=====

No. 4
Starting from a PBE-relaxed structure, the powder diffraction line list of Sb17S27 was calculated for CuKα.
Intensities are scaled so that the largest is 100.

Structure:
Cell lengths 8.890, 8.894, 15.551 Å; angles 96.15, 100.15, 97.21 degrees
Space group P1 (No. 1)
Asymmetric unit:
Sb1 0.000 0.000 0.000 x1
Sb2 0.000 0.175 0.718 x1
Sb3 0.003 0.608 0.869 x1
Sb4 0.007 0.737 0.592 x1
Sb5 0.115 0.453 0.183 x1
Sb6 0.297 0.676 0.395 x1
Sb7 0.322 0.955 0.842 x1
Sb8 0.334 0.369 0.982 x1
Sb9 0.341 0.106 0.585 x1
Sb10 0.343 0.529 0.725 x1
Sb11 0.430 0.810 0.183 x1
Sb12 0.620 0.015 0.413 x1
Sb13 0.652 0.284 0.852 x1
Sb14 0.670 0.852 0.724 x1
Sb15 0.690 0.425 0.602 x1
Sb16 0.804 0.086 0.218 x1
Sb17 0.969 0.351 0.414 x1
S1 0.015 0.729 0.023 x1
S2 0.017 0.482 0.655 x1
S3 0.048 0.076 0.565 x1
S4 0.059 0.102 0.160 x1
S5 0.154 0.736 0.254 x1
S6 0.236 0.390 0.328 x1
S7 0.291 0.070 0.005 x1
S8 0.299 0.650 0.890 x1
S9 0.325 0.015 0.427 x1
S10 0.329 0.226 0.787 x1
S11 0.361 0.797 0.669 x1
S12 0.385 0.392 0.563 x1
S13 0.388 0.469 0.143 x1
S14 0.525 0.090 0.263 x1
S15 0.557 0.728 0.323 x1
S16 0.616 0.384 0.002 x1
S17 0.623 0.002 0.884 x1
S18 0.642 0.584 0.784 x1
S19 0.681 0.338 0.442 x1
S20 0.682 0.875 0.111 x1
S21 0.699 0.125 0.659 x1
S22 0.707 0.709 0.566 x1
S23 0.827 0.368 0.257 x1
S24 0.913 0.028 0.358 x1
S25 0.959 0.337 0.909 x1
S26 0.987 0.915 0.781 x1
S27 0.994 0.654 0.430 x1

Principal peaks in the range 2θ = 10–90°, sorted by position:
14.77°, intensity 63, (1 -1 1); 18.13°, intensity 85, (1 -1 2); 22.57°, intensity 53, (1 -1 3); 25.93°, intensity 58, (1 2 1); 26.48°, intensity 100, (-1 1 4); 26.72°, intensity 65, (2 1 -3); 30.40°, intensity 34, (3 0 -1); 30.99°, intensity 93, (3 0 0); 31.38°, intensity 86, (0 3 -2); 32.68°, intensity 33, (3 0 1); 46.37°, intensity 50, (3 3 -2); 47.35°, intensity 36, (3 0 -7)

=====

No. 5
Starting from a PBE-relaxed structure, the powder diffraction line list of Sb11S18 was calculated for CuKα.
Intensities are scaled so that the largest is 100.

Structure:
Cell lengths 6.928, 7.942, 15.697 Å; angles 76.87, 84.86, 72.73 degrees
Space group P1 (No. 1)
Asymmetric unit:
Sb1 0.000 0.000 0.000 x1
Sb2 0.002 0.716 0.222 x1
Sb3 0.084 0.177 0.193 x1
Sb4 0.146 0.357 0.698 x1
Sb5 0.162 0.872 0.680 x1
Sb6 0.337 0.182 0.420 x1
Sb7 0.596 0.943 0.820 x1
Sb8 0.617 0.459 0.807 x1
Sb9 0.696 0.773 0.562 x1
Sb10 0.709 0.280 0.558 x1
Sb11 0.953 0.522 0.994 x1
S1 0.167 0.897 0.298 x1
S2 0.210 0.691 0.087 x1
S3 0.248 0.166 0.054 x1
S4 0.309 0.308 0.256 x1
S5 0.340 0.239 0.847 x1
S6 0.351 0.755 0.846 x1
S7 0.402 0.067 0.630 x1
S8 0.410 0.599 0.625 x1
S9 0.575 0.369 0.407 x1
S10 0.584 0.885 0.410 x1
S11 0.690 0.844 0.980 x1
S12 0.700 0.360 0.967 x1
S13 0.803 0.031 0.141 x1
S14 0.809 0.463 0.150 x1
S15 0.899 0.631 0.762 x1
S16 0.906 0.165 0.750 x1
S17 0.942 0.481 0.521 x1
S18 0.971 0.991 0.530 x1

Principal peaks in the range 2θ = 10–90°, sorted by position:
14.72°, intensity 74, (1 0 -1); 17.95°, intensity 89, (1 0 -2); 22.28°, intensity 53, (1 0 -3); 25.90°, intensity 53, (0 2 -1); 26.31°, intensity 61, (1 2 3); 26.66°, intensity 100, (1 0 4); 29.20°, intensity 38, (0 0 5); 30.69°, intensity 88, (2 2 0); 31.25°, intensity 82, (-1 2 2); 32.32°, intensity 43, (2 2 -1); 44.50°, intensity 47, (2 -2 2); 45.70°, intensity 45, (1 4 2)